# 1
Theoretical powder XRD pattern
Compound: V3P6O20
Radiation: Cu Ka
Structure: a DFT-relaxed cell (GGA+U, Alexandria)
Kinematic intensities with the Lorentz-polarization factor, no thermal factor.

Crystal structure
abc: 12.696 8.560 8.560
angles: 107.70 90.00 90.00
Sites, in units of the cell vectors:
V  0.000  0.000  0.000
V  0.208  0.032  0.571
V  0.292  0.532  0.071
V  0.500  0.500  0.500
V  0.708  0.071  0.532
V  0.792  0.571  0.032
P  0.054  0.609  0.978
P  0.195  0.453  0.708
P  0.218  0.136  0.986
P  0.282  0.636  0.486
P  0.305  0.953  0.208
P  0.446  0.109  0.478
P  0.554  0.478  0.109
P  0.695  0.208  0.953
P  0.718  0.486  0.636
P  0.782  0.986  0.136
P  0.805  0.708  0.453
P  0.946  0.978  0.609
O  0.054  0.003  0.546
O  0.059  0.793  0.996
O  0.083  0.515  0.786
O  0.114  0.155  0.082
O  0.138  0.563  0.085
O  0.188  0.270  0.633
O  0.201  0.036  0.808
O  0.202  0.530  0.561
O  0.218  0.019  0.330
O  0.225  0.797  0.510
O  0.275  0.297  0.010
O  0.282  0.519  0.830
O  0.298  0.030  0.061
O  0.299  0.536  0.308
O  0.312  0.770  0.133
O  0.362  0.063  0.585
O  0.386  0.655  0.582
O  0.417  0.015  0.286
O  0.441  0.293  0.496
O  0.446  0.503  0.046
O  0.554  0.046  0.503
O  0.559  0.496  0.293
O  0.583  0.286  0.015
O  0.614  0.582  0.655
O  0.638  0.585  0.063
O  0.688  0.133  0.770
O  0.701  0.308  0.536
O  0.702  0.061  0.030
O  0.718  0.830  0.519
O  0.725  0.010  0.297
O  0.775  0.510  0.797
O  0.782  0.330  0.019
O  0.798  0.561  0.530
O  0.799  0.808  0.036
O  0.812  0.633  0.270
O  0.862  0.085  0.563
O  0.886  0.082  0.155
O  0.917  0.786  0.515
O  0.941  0.996  0.793
O  0.946  0.546  0.003

Principal peaks in the range 10° ≤ 2θ ≤ 90°, low angle first:
two_theta, I/Imax
12.88, 70
13.95, 43
17.71, 14
21.80, 100
22.33, 32
25.46, 13
30.22, 30
34.48, 13

---

# 2
Theoretical powder XRD pattern
Compound: V3P6O20
Radiation: Cu Ka
Structure: a DFT-relaxed cell (GGA+U, Alexandria)
Kinematic intensities with the Lorentz-polarization factor, no thermal factor.

Crystal structure
abc: 8.467 8.467 12.397
angles: 90.00 90.00 105.37
Sites, in units of the cell vectors:
V  0.212  0.788  0.750
V  0.261  0.739  0.250
V  0.351  0.351  0.000
V  0.649  0.649  0.500
V  0.739  0.261  0.750
V  0.788  0.212  0.250
P  0.134  0.401  0.680
P  0.191  0.320  0.223
P  0.247  0.646  0.515
P  0.320  0.191  0.777
P  0.354  0.753  0.985
P  0.401  0.134  0.320
P  0.599  0.866  0.820
P  0.646  0.247  0.485
P  0.680  0.809  0.277
P  0.753  0.354  0.015
P  0.809  0.680  0.723
P  0.866  0.599  0.180
O  0.020  0.244  0.267
O  0.026  0.721  0.201
O  0.146  0.463  0.558
O  0.180  0.550  0.755
O  0.191  0.656  0.401
O  0.196  0.767  0.592
O  0.223  0.235  0.118
O  0.233  0.804  0.908
O  0.235  0.223  0.882
O  0.237  0.502  0.208
O  0.244  0.020  0.733
O  0.279  0.313  0.685
O  0.279  0.974  0.299
O  0.313  0.279  0.315
O  0.344  0.809  0.099
O  0.348  0.572  0.972
O  0.428  0.652  0.528
O  0.450  0.820  0.745
O  0.463  0.146  0.442
O  0.498  0.763  0.292
O  0.502  0.237  0.792
O  0.537  0.854  0.942
O  0.550  0.180  0.245
O  0.572  0.348  0.028
O  0.652  0.428  0.472
O  0.656  0.191  0.599
O  0.687  0.721  0.815
O  0.721  0.026  0.799
O  0.721  0.687  0.185
O  0.756  0.980  0.233
O  0.763  0.498  0.708
O  0.765  0.777  0.382
O  0.767  0.196  0.408
O  0.777  0.765  0.618
O  0.804  0.233  0.092
O  0.809  0.344  0.901
O  0.820  0.450  0.255
O  0.854  0.537  0.058
O  0.974  0.279  0.701
O  0.980  0.756  0.767

Principal peaks in the range 10° ≤ 2θ ≤ 90°, low angle first:
two_theta, I/Imax
10.84, 36
13.15, 20
14.29, 42
17.97, 47
21.77, 100
22.78, 37
22.94, 30
28.81, 24

---

# 3
Theoretical powder XRD pattern
Compound: VP2O7
Radiation: Cu Ka
Structure: a DFT-relaxed cell (GGA+U, Alexandria)
Kinematic intensities with the Lorentz-polarization factor, no thermal factor.

Crystal structure
abc: 4.878 8.080 6.941
angles: 90.00 105.51 90.00
Sites, in units of the cell vectors:
V  0.212  0.000  0.227
V  0.788  0.500  0.773
P  0.242  0.731  0.604
P  0.388  0.317  0.009
P  0.612  0.817  0.991
P  0.758  0.231  0.396
O  0.016  0.171  0.326
O  0.141  0.833  0.415
O  0.149  0.443  0.967
O  0.281  0.139  0.014
O  0.416  0.860  0.771
O  0.422  0.830  0.136
O  0.436  0.586  0.587
O  0.564  0.086  0.413
O  0.578  0.330  0.864
O  0.584  0.360  0.229
O  0.719  0.639  0.986
O  0.851  0.943  0.033
O  0.859  0.333  0.585
O  0.984  0.671  0.674

Principal peaks in the range 10° ≤ 2θ ≤ 90°, low angle first:
two_theta, I/Imax
17.21, 100
21.88, 24
22.83, 39
25.76, 12
28.21, 25
29.89, 45
30.44, 18
38.59, 12

---

# 4
Theoretical powder XRD pattern
Compound: VP5O15
Radiation: Cu Ka
Structure: a DFT-relaxed cell (GGA+U, Alexandria)
Kinematic intensities with the Lorentz-polarization factor, no thermal factor.

Crystal structure
abc: 5.212 13.711 9.064
angles: 90.00 102.00 90.00
Sites, in units of the cell vectors:
V  0.000  0.000  0.000
V  0.000  0.500  0.000
P  0.023  0.250  0.505
P  0.163  0.074  0.691
P  0.163  0.426  0.691
P  0.497  0.140  0.980
P  0.497  0.360  0.980
P  0.503  0.640  0.020
P  0.503  0.860  0.020
P  0.837  0.574  0.309
P  0.837  0.926  0.309
P  0.977  0.750  0.495
O  0.003  0.531  0.201
O  0.003  0.969  0.201
O  0.022  0.661  0.388
O  0.022  0.839  0.388
O  0.176  0.750  0.643
O  0.212  0.621  0.984
O  0.212  0.879  0.984
O  0.276  0.010  0.593
O  0.276  0.490  0.593
O  0.289  0.250  0.463
O  0.329  0.076  0.058
O  0.329  0.424  0.058
O  0.391  0.139  0.803
O  0.391  0.361  0.803
O  0.449  0.250  0.027
O  0.551  0.750  0.973
O  0.609  0.639  0.197
O  0.609  0.861  0.197
O  0.671  0.576  0.942
O  0.671  0.924  0.942
O  0.711  0.750  0.537
O  0.724  0.510  0.407
O  0.724  0.990  0.407
O  0.788  0.121  0.016
O  0.788  0.379  0.016
O  0.824  0.250  0.357
O  0.978  0.161  0.612
O  0.978  0.339  0.612
O  0.997  0.031  0.799
O  0.997  0.469  0.799

Principal peaks in the range 10° ≤ 2θ ≤ 90°, low angle first:
two_theta, I/Imax
11.89, 49
16.34, 44
18.18, 100
20.03, 48
21.88, 40
22.36, 27
25.46, 56
31.45, 25

---

# 5
Theoretical powder XRD pattern
Compound: VP3O9
Radiation: Cu Ka
Structure: a DFT-relaxed cell (GGA+U, Alexandria)
Kinematic intensities with the Lorentz-polarization factor, no thermal factor.

Crystal structure
abc: 8.509 8.535 9.362
angles: 90.00 90.00 90.00
Sites, in units of the cell vectors:
V  0.154  0.125  0.108
V  0.346  0.875  0.608
V  0.654  0.375  0.892
V  0.846  0.625  0.392
P  0.024  0.323  0.830
P  0.190  0.463  0.301
P  0.197  0.822  0.910
P  0.303  0.178  0.410
P  0.310  0.537  0.801
P  0.476  0.677  0.330
P  0.524  0.177  0.170
P  0.690  0.037  0.699
P  0.697  0.678  0.090
P  0.803  0.322  0.590
P  0.810  0.963  0.199
P  0.976  0.823  0.670
O  0.039  0.769  0.824
O  0.076  0.588  0.345
O  0.109  0.190  0.901
O  0.111  0.891  0.585
O  0.142  0.456  0.779
O  0.153  0.888  0.052
O  0.160  0.364  0.171
O  0.199  0.080  0.316
O  0.225  0.349  0.437
O  0.275  0.651  0.937
O  0.301  0.920  0.816
O  0.340  0.636  0.671
O  0.347  0.112  0.552
O  0.358  0.544  0.279
O  0.389  0.109  0.085
O  0.391  0.810  0.401
O  0.424  0.412  0.845
O  0.461  0.231  0.324
O  0.539  0.731  0.176
O  0.576  0.912  0.655
O  0.609  0.310  0.099
O  0.611  0.609  0.415
O  0.642  0.044  0.221
O  0.653  0.612  0.948
O  0.660  0.136  0.829
O  0.699  0.420  0.684
O  0.725  0.151  0.563
O  0.775  0.849  0.063
O  0.801  0.580  0.184
O  0.840  0.864  0.329
O  0.847  0.388  0.448
O  0.858  0.956  0.721
O  0.889  0.391  0.915
O  0.891  0.690  0.599
O  0.924  0.088  0.155
O  0.961  0.269  0.676

Principal peaks in the range 10° ≤ 2θ ≤ 90°, low angle first:
two_theta, I/Imax
17.50, 100
21.66, 59
22.93, 73
24.07, 42
25.23, 54
32.99, 28
33.21, 19
34.65, 29

---

# 6
Theoretical powder XRD pattern
Compound: V2P2O9
Radiation: Cu Ka
Structure: a DFT-relaxed cell (GGA+U, Alexandria)
Kinematic intensities with the Lorentz-polarization factor, no thermal factor.

Crystal structure
abc: 13.779 6.383 7.812
angles: 90.00 90.00 90.00
Sites, in units of the cell vectors:
V  0.000  0.000  0.000
V  0.000  0.500  0.000
V  0.119  0.250  0.349
V  0.381  0.750  0.849
V  0.500  0.000  0.500
V  0.500  0.500  0.500
V  0.619  0.250  0.151
V  0.881  0.750  0.651
P  0.061  0.750  0.349
P  0.195  0.750  0.910
P  0.305  0.250  0.410
P  0.439  0.250  0.849
P  0.561  0.750  0.151
P  0.695  0.750  0.590
P  0.805  0.250  0.090
P  0.939  0.250  0.651
O  0.010  0.750  0.164
O  0.019  0.250  0.515
O  0.046  0.250  0.140
O  0.123  0.555  0.358
O  0.123  0.945  0.358
O  0.126  0.555  0.924
O  0.126  0.945  0.924
O  0.224  0.250  0.543
O  0.247  0.250  0.239
O  0.253  0.750  0.739
O  0.276  0.750  0.043
O  0.374  0.055  0.424
O  0.374  0.445  0.424
O  0.377  0.055  0.858
O  0.377  0.445  0.858
O  0.454  0.750  0.640
O  0.481  0.750  0.015
O  0.490  0.250  0.664
O  0.510  0.750  0.336
O  0.519  0.250  0.985
O  0.546  0.250  0.360
O  0.623  0.555  0.142
O  0.623  0.945  0.142
O  0.626  0.555  0.576
O  0.626  0.945  0.576
O  0.724  0.250  0.957
O  0.747  0.250  0.261
O  0.753  0.750  0.761
O  0.776  0.750  0.457
O  0.874  0.055  0.076
O  0.874  0.445  0.076
O  0.877  0.055  0.642
O  0.877  0.445  0.642
O  0.954  0.750  0.860
O  0.981  0.750  0.485
O  0.990  0.250  0.836

Principal peaks in the range 10° ≤ 2θ ≤ 90°, low angle first:
two_theta, I/Imax
12.85, 93
17.16, 93
19.08, 100
22.13, 49
23.68, 87
27.96, 27
30.03, 37
30.95, 70

---

# 7
Theoretical powder XRD pattern
Compound: VP2O7
Radiation: Cu Ka
Structure: a DFT-relaxed cell (GGA+U, Alexandria)
Kinematic intensities with the Lorentz-polarization factor, no thermal factor.

Crystal structure
abc: 5.144 5.144 4.550
angles: 97.25 97.25 100.60
Sites, in units of the cell vectors:
V  0.000  0.000  0.000
P  0.450  0.144  0.585
P  0.856  0.550  0.415
O  0.034  0.690  0.707
O  0.254  0.204  0.804
O  0.310  0.966  0.293
O  0.567  0.433  0.500
O  0.680  0.035  0.733
O  0.796  0.746  0.196
O  0.965  0.320  0.267

Principal peaks in the range 10° ≤ 2θ ≤ 90°, low angle first:
two_theta, I/Imax
17.75, 82
22.47, 66
24.64, 31
28.80, 100
30.19, 72
30.87, 71
43.57, 26
50.49, 37